Record 1
Simulated powder X-ray diffraction pattern
Compound: AlMo5
Radiation: a wavelength of 1.5418 Å
Structure: a structure optimized by DFT (GGA-PBE)

Main lines, sorted by position (2θ from 10° to 80°):
- d 6.007, 14.75°, I = 13
- d 4.691, 18.92°, I = 10
- d 4.456, 19.93°, I = 6
- d 2.238, 40.30°, I = 100
- d 2.227, 40.51°, I = 98
- d 2.222, 40.60°, I = 97
- d 1.586, 58.18°, I = 16
- d 1.579, 58.43°, I = 16
- d 1.564, 59.08°, I = 15
- d 1.291, 73.35°, I = 32
- d 1.288, 73.52°, I = 32
- d 1.282, 73.95°, I = 31

a = 5.199 Å, b = 5.199 Å, c = 6.343 Å
α = 107.82°, β = 107.82°, γ = 35.37°
Positions (direct):
Al: 0.000 0.000 0.000
Mo: 0.000 0.000 0.500
Mo: 0.326 0.326 0.167
Mo: 0.333 0.333 0.662
Mo: 0.667 0.667 0.338
Mo: 0.674 0.674 0.833

---

Record 2
Simulated powder X-ray diffraction pattern
Compound: Pm2Ga3Cu5
Radiation: a wavelength of 1.5418 Å
Structure: a structure optimized by DFT (GGA-PBE)

Main lines, sorted by position (2θ from 10° to 80°):
- d 2.960, 30.19°, I = 18
- d 2.627, 34.14°, I = 62
- d 2.555, 35.12°, I = 100
- d 2.093, 43.22°, I = 57
- d 1.923, 47.26°, I = 8
- d 1.822, 50.06°, I = 25
- d 1.637, 56.19°, I = 29
- d 1.480, 62.77°, I = 18
- d 1.465, 63.48°, I = 11
- d 1.374, 68.24°, I = 20
- d 1.290, 73.43°, I = 6
- d 1.281, 74.01°, I = 21

a = 4.187 Å, b = 4.187 Å, c = 10.119 Å
α = 90.00°, β = 90.00°, γ = 90.00°
Positions (direct):
Pm: 0.000 0.500 0.239
Pm: 0.500 0.000 0.761
Ga: 0.000 0.500 0.644
Ga: 0.500 0.000 0.356
Ga: 0.500 0.500 0.500
Cu: 0.000 0.000 0.000
Cu: 0.000 0.000 0.500
Cu: 0.000 0.500 0.880
Cu: 0.500 0.000 0.120
Cu: 0.500 0.500 0.000

---

Record 3
Simulated powder X-ray diffraction pattern
Compound: LaErBr6
Radiation: a wavelength of 1.5418 Å
Structure: a structure optimized by DFT (GGA-PBE)

Main lines, sorted by position (2θ from 10° to 80°):
- d 5.255, 16.87°, I = 97
- d 3.862, 23.03°, I = 38
- d 3.148, 28.35°, I = 100
- d 2.628, 34.12°, I = 18
- d 2.423, 37.10°, I = 80
- d 2.283, 39.47°, I = 20
- d 2.119, 42.66°, I = 18
- d 2.070, 43.73°, I = 51
- d 1.870, 48.69°, I = 22
- d 1.574, 58.66°, I = 21
- d 1.287, 73.57°, I = 21
- d 1.253, 75.95°, I = 19

a = 7.771 Å, b = 7.771 Å, c = 7.771 Å
α = 54.95°, β = 54.95°, γ = 54.95°
Positions (direct):
La: 0.000 0.000 0.000
Er: 0.500 0.500 0.500
Br: 0.101 0.417 0.740
Br: 0.260 0.899 0.583
Br: 0.417 0.740 0.101
Br: 0.583 0.260 0.899
Br: 0.740 0.101 0.417
Br: 0.899 0.583 0.260

---

Record 4
Simulated powder X-ray diffraction pattern
Compound: Mn2HIrRu
Radiation: a wavelength of 1.5418 Å
Structure: a structure optimized by DFT (GGA-PBE)

Main lines, sorted by position (2θ from 10° to 80°):
- d 3.779, 23.54°, I = 10
- d 3.742, 23.78°, I = 21
- d 2.672, 33.54°, I = 18
- d 2.659, 33.71°, I = 8
- d 2.175, 41.53°, I = 100
- d 1.889, 48.16°, I = 33
- d 1.871, 48.66°, I = 16
- d 1.687, 54.40°, I = 10
- d 1.533, 60.40°, I = 7
- d 1.336, 70.49°, I = 10
- d 1.329, 70.88°, I = 20
- d 1.258, 75.56°, I = 4

a = 3.779 Å, b = 3.779 Å, c = 3.742 Å
α = 90.00°, β = 90.00°, γ = 90.00°
Positions (direct):
Mn: 0.000 0.500 0.000
Mn: 0.500 0.000 0.000
H: 0.000 0.000 0.000
Ir: 0.000 0.000 0.500
Ru: 0.500 0.500 0.500

---

Record 5
Simulated powder X-ray diffraction pattern
Compound: La2CuSn4
Radiation: a wavelength of 1.5418 Å
Structure: a structure optimized by DFT (GGA-PBE)

Main lines, sorted by position (2θ from 10° to 80°):
- d 3.072, 29.06°, I = 12
- d 2.865, 31.22°, I = 13
- d 2.843, 31.47°, I = 100
- d 2.541, 35.33°, I = 18
- d 2.276, 39.60°, I = 22
- d 2.259, 39.90°, I = 20
- d 1.868, 48.75°, I = 9
- d 1.695, 54.10°, I = 11
- d 1.603, 57.47°, I = 15
- d 1.440, 64.76°, I = 7
- d 1.400, 66.80°, I = 12
- d 1.393, 67.22°, I = 12

a = 4.519 Å, b = 9.494 Å, c = 9.494 Å
α = 27.74°, β = 90.00°, γ = 90.00°
Positions (direct):
La: 0.000 0.000 0.000
La: 0.500 0.210 0.210
Cu: 0.000 0.786 0.786
Sn: 0.000 0.363 0.363
Sn: 0.000 0.647 0.647
Sn: 0.500 0.547 0.547
Sn: 0.500 0.863 0.863

---

Record 6
Simulated powder X-ray diffraction pattern
Compound: TbEr5In6
Radiation: a wavelength of 1.5418 Å
Structure: a structure optimized by DFT (GGA-PBE)

Main lines, sorted by position (2θ from 10° to 80°):
- d 3.743, 23.77°, I = 2
- d 3.725, 23.89°, I = 1
- d 2.643, 33.92°, I = 100
- d 2.158, 41.87°, I = 1
- d 1.872, 48.65°, I = 12
- d 1.863, 48.90°, I = 6
- d 1.673, 54.87°, I = 1
- d 1.668, 55.07°, I = 1
- d 1.527, 60.65°, I = 25
- d 1.523, 60.81°, I = 12
- d 1.323, 71.26°, I = 4
- d 1.320, 71.45°, I = 8

a = 8.370 Å, b = 8.370 Å, c = 7.451 Å
α = 90.00°, β = 90.00°, γ = 143.13°
Positions (direct):
Tb: 0.000 0.000 0.000
Er: 0.000 0.000 0.500
Er: 0.333 0.667 0.000
Er: 0.334 0.666 0.500
Er: 0.666 0.334 0.500
Er: 0.667 0.333 0.000
In: 0.168 0.832 0.252
In: 0.168 0.832 0.748
In: 0.500 0.500 0.251
In: 0.500 0.500 0.749
In: 0.832 0.168 0.252
In: 0.832 0.168 0.748